Theoretical powder XRD pattern
Compound: PmHf2Al9
Radiation: CuKα
Structure: a structure optimized by DFT (GGA-PBE)
Peak positions follow from Bragg's law for the DFT cell and can differ from measured ones.

Atomic structure:
```
data_PmHf2Al9
_chemical_formula_sum 'Pm3 Hf6 Al27'
_cell_length_a 5.3851
_cell_length_b 5.3851
_cell_length_c 26.2012
_cell_angle_alpha 90.00
_cell_angle_beta 90.00
_cell_angle_gamma 120.00
_space_group_name_H-M_alt 'R -3 m'
_space_group_IT_number 166
_space_group_name_Hall '-R 3 2"'
loop_
_atom_site_label
_atom_site_fract_x
_atom_site_fract_y
_atom_site_fract_z
_atom_site_occupancy
Pm1 0.0000 0.0000 0.0000 1
Hf1 0.0000 0.0000 0.1448 1
Al1 0.0000 0.0000 0.3343 1
Al2 0.0000 0.0000 0.5000 1
Al3 0.0064 0.5032 0.9129 1
```

Main lines, in order of rising 2θ (10° ≤ 2θ ≤ 90°):
| 2θ (°) | intensity | hkl |
| --- | --- | --- |
| 19.3 | 72 | 1 0 1 |
| 30.6 | 82 | 1 0 7 |
| 33.3 | 78 | 1 1 0 |
| 33.4 | 37 | 0 1 8 |
| 38.8 | 37 | 0 2 1 |
| 39.3 | 100 | 1 1 6 |

***

Theoretical powder XRD pattern
Compound: PrHfAlPt2
Radiation: CuKα
Structure: a structure optimized by DFT (GGA-PBE)
Peak positions follow from Bragg's law for the DFT cell and can differ from measured ones.

Atomic structure:
```
data_PrHfAlPt2
_chemical_formula_sum 'Pr2 Hf2 Al2 Pt4'
_cell_length_a 4.2442
_cell_length_b 4.2442
_cell_length_c 11.8000
_cell_angle_alpha 90.00
_cell_angle_beta 90.00
_cell_angle_gamma 90.00
_space_group_name_H-M_alt 'I -4 m 2'
_space_group_IT_number 119
_space_group_name_Hall 'I -4 -2'
loop_
_atom_site_label
_atom_site_fract_x
_atom_site_fract_y
_atom_site_fract_z
_atom_site_occupancy
Pr1 0.0000 0.0000 0.0000 1
Hf1 0.0000 0.5000 0.7500 1
Al1 0.0000 0.5000 0.2500 1
Pt1 0.0000 0.0000 0.3854 1
```

Main lines, in order of rising 2θ (10° ≤ 2θ ≤ 90°):
| 2θ (°) | intensity | hkl |
| --- | --- | --- |
| 22.3 | 66 | 1 0 1 |
| 31.0 | 100 | 1 0 3 |
| 33.5 | 86 | 1 1 2 |
| 42.6 | 76 | 2 0 0 |
| 43.0 | 52 | 1 1 4 |
| 43.9 | 68 | 1 0 5 |

***

Theoretical powder XRD pattern
Compound: Hf2Al6Pt
Radiation: CuKα
Structure: a structure optimized by DFT (GGA-PBE)
Peak positions follow from Bragg's law for the DFT cell and can differ from measured ones.

Atomic structure:
```
data_Hf2Al6Pt
_chemical_formula_sum 'Hf4 Al12 Pt2'
_cell_length_a 7.3960
_cell_length_b 13.9721
_cell_length_c 3.1284
_cell_angle_alpha 90.00
_cell_angle_beta 90.00
_cell_angle_gamma 90.00
_space_group_name_H-M_alt 'C m m m'
_space_group_IT_number 65
_space_group_name_Hall '-C 2 2'
loop_
_atom_site_label
_atom_site_fract_x
_atom_site_fract_y
_atom_site_fract_z
_atom_site_occupancy
Hf1 0.0000 0.1889 0.0000 1
Al1 0.1807 0.3418 0.5000 1
Al2 0.2025 0.0000 0.0000 1
Pt1 0.0000 0.5000 0.5000 1
```

Main lines, in order of rising 2θ (10° ≤ 2θ ≤ 90°):
| 2θ (°) | intensity | hkl |
| --- | --- | --- |
| 22.6 | 100 | 1 3 0 |
| 24.1 | 38 | 2 0 0 |
| 31.7 | 56 | 1 1 1 |
| 39.9 | 61 | 2 2 1 |
| 41.4 | 44 | 3 3 0 |
| 45.2 | 49 | 1 5 1 |

***

Theoretical powder XRD pattern
Compound: Rb2HfAlTe4
Radiation: CuKα
Structure: a structure optimized by DFT (GGA-PBE)
Peak positions follow from Bragg's law for the DFT cell and can differ from measured ones.

Atomic structure:
```
data_Rb2HfAlTe4
_chemical_formula_sum 'Rb16 Hf8 Al8 Te32'
_cell_length_a 7.1313
_cell_length_b 14.8708
_cell_length_c 26.4060
_cell_angle_alpha 90.00
_cell_angle_beta 90.00
_cell_angle_gamma 90.00
_space_group_name_H-M_alt 'F d d d'
_space_group_IT_number 70
loop_
_space_group_symop_operation_xyz
'x,y,z'
'-x,-y,-z'
'-x+1/4,-y+1/4,z'
'x+1/4,y+1/4,-z'
'x,-y+1/4,-z+1/4'
'-x,y+1/4,z+1/4'
'-x+1/4,y,-z+1/4'
'x+1/4,-y,z+1/4'
'x,y+1/2,z+1/2'
'-x,-y+1/2,-z+1/2'
'-x+1/4,-y+3/4,z+1/2'
'x+1/4,y+3/4,-z+1/2'
'x,-y+3/4,-z+3/4'
'-x,y+3/4,z+3/4'
'-x+1/4,y+1/2,-z+3/4'
'x+1/4,-y+1/2,z+3/4'
'x+1/2,y,z+1/2'
'-x+1/2,-y,-z+1/2'
'-x+3/4,-y+1/4,z+1/2'
'x+3/4,y+1/4,-z+1/2'
'x+1/2,-y+1/4,-z+3/4'
'-x+1/2,y+1/4,z+3/4'
'-x+3/4,y,-z+3/4'
'x+3/4,-y,z+3/4'
'x+1/2,y+1/2,z'
'-x+1/2,-y+1/2,-z'
'-x+3/4,-y+3/4,z'
'x+3/4,y+3/4,-z'
'x+1/2,-y+3/4,-z+1/4'
'-x+1/2,y+3/4,z+1/4'
'-x+3/4,y+1/2,-z+1/4'
'x+3/4,-y+1/2,z+1/4'
loop_
_atom_site_label
_atom_site_fract_x
_atom_site_fract_y
_atom_site_fract_z
_atom_site_occupancy
Rb1 0.1250 0.1250 0.3056 1
Hf1 0.1250 0.1250 0.1250 1
Al1 0.1250 0.1250 0.6250 1
Te1 0.1208 0.2754 0.8205 1
```

Main lines, in order of rising 2θ (10° ≤ 2θ ≤ 90°):
| 2θ (°) | intensity | hkl |
| --- | --- | --- |
| 13.4 | 33 | 0 0 4 |
| 13.7 | 38 | 0 2 2 |
| 22.1 | 41 | 1 3 1 |
| 24.1 | 41 | 1 3 3 |
| 27.7 | 100 | 1 3 5 |
| 32.3 | 40 | 2 0 6 |

***

Theoretical powder XRD pattern
Compound: Hf4Al2Re
Radiation: CuKα
Structure: a structure optimized by DFT (GGA-PBE)
Peak positions follow from Bragg's law for the DFT cell and can differ from measured ones.

Atomic structure:
```
data_Hf4Al2Re
_chemical_formula_sum 'Hf8 Al4 Re2'
_cell_length_a 4.9838
_cell_length_b 4.9838
_cell_length_c 13.8737
_cell_angle_alpha 90.00
_cell_angle_beta 90.00
_cell_angle_gamma 90.00
_space_group_name_H-M_alt 'I 4/m m m'
_space_group_IT_number 139
_space_group_name_Hall '-I 4 2'
loop_
_atom_site_label
_atom_site_fract_x
_atom_site_fract_y
_atom_site_fract_z
_atom_site_occupancy
Hf1 0.0000 0.0000 0.1819 1
Hf2 0.0000 0.5000 0.0000 1
Al1 0.0000 0.0000 0.3817 1
Re1 0.0000 0.0000 0.0000 1
```

Main lines, in order of rising 2θ (10° ≤ 2θ ≤ 90°):
| 2θ (°) | intensity | hkl |
| --- | --- | --- |
| 12.8 | 65 | 0 0 2 |
| 18.9 | 92 | 1 0 1 |
| 28.4 | 65 | 1 1 2 |
| 36.0 | 100 | 2 0 0 |
| 37.1 | 58 | 1 0 5 |
| 54.1 | 48 | 2 0 6 |

***

Theoretical powder XRD pattern
Compound: HfAl10Re2
Radiation: CuKα
Structure: a structure optimized by DFT (GGA-PBE)
Peak positions follow from Bragg's law for the DFT cell and can differ from measured ones.

Atomic structure:
```
data_HfAl10Re2
_chemical_formula_sum 'Hf4 Al40 Re8'
_cell_length_a 9.1103
_cell_length_b 10.2513
_cell_length_c 9.0808
_cell_angle_alpha 90.00
_cell_angle_beta 90.00
_cell_angle_gamma 90.00
_space_group_name_H-M_alt 'C m c m'
_space_group_IT_number 63
_space_group_name_Hall '-C 2c 2'
loop_
_atom_site_label
_atom_site_fract_x
_atom_site_fract_y
_atom_site_fract_z
_atom_site_occupancy
Hf1 0.0000 0.1381 0.2500 1
Al1 0.0000 0.1409 0.5947 1
Al2 0.0000 0.3733 0.0364 1
Al3 0.1629 0.3685 0.7500 1
Al4 0.2143 0.3663 0.2500 1
Al5 0.2267 0.0000 0.0000 1
Re1 0.2500 0.2500 0.0000 1
```

Main lines, in order of rising 2θ (10° ≤ 2θ ≤ 90°):
| 2θ (°) | intensity | hkl |
| --- | --- | --- |
| 17.3 | 70 | 0 2 0 |
| 26.2 | 63 | 2 2 0 |
| 27.7 | 71 | 2 0 2 |
| 32.9 | 50 | 2 2 2 |
| 40.4 | 100 | 0 4 2 |
| 57.9 | 48 | 4 4 2 |

***

Theoretical powder XRD pattern
Compound: HfAl3Rh4
Radiation: CuKα
Structure: a structure optimized by DFT (GGA-PBE)
Peak positions follow from Bragg's law for the DFT cell and can differ from measured ones.

Atomic structure:
```
data_HfAl3Rh4
_chemical_formula_sum 'Hf3 Al9 Rh12'
_cell_length_a 4.3484
_cell_length_b 4.3484
_cell_length_c 21.4145
_cell_angle_alpha 90.00
_cell_angle_beta 90.00
_cell_angle_gamma 120.00
_space_group_name_H-M_alt 'R -3 m'
_space_group_IT_number 166
_space_group_name_Hall '-R 3 2"'
loop_
_atom_site_label
_atom_site_fract_x
_atom_site_fract_y
_atom_site_fract_z
_atom_site_occupancy
Hf1 0.0000 0.0000 0.0000 1
Al1 0.0000 0.0000 0.2478 1
Al2 0.0000 0.0000 0.5000 1
Rh1 0.0000 0.0000 0.1271 1
Rh2 0.0000 0.0000 0.3795 1
```

Main lines, in order of rising 2θ (10° ≤ 2θ ≤ 90°):
| 2θ (°) | intensity | hkl |
| --- | --- | --- |
| 12.4 | 21 | 0 0 3 |
| 25.1 | 20 | 0 1 2 |
| 41.4 | 99 | 0 1 8 |
| 41.5 | 100 | 1 1 0 |
| 60.1 | 33 | 2 0 8 |
| 75.7 | 33 | 1 2 8 |

***

Theoretical powder XRD pattern
Compound: Hf2Al5Rh3
Radiation: CuKα
Structure: a structure optimized by DFT (GGA-PBE)
Peak positions follow from Bragg's law for the DFT cell and can differ from measured ones.

Atomic structure:
```
data_Hf2Al5Rh3
_chemical_formula_sum 'Hf8 Al20 Rh12'
_cell_length_a 9.9096
_cell_length_b 11.7867
_cell_length_c 5.6539
_cell_angle_alpha 90.00
_cell_angle_beta 103.48
_cell_angle_gamma 90.00
_space_group_name_H-M_alt 'C 1 2/c 1'
_space_group_IT_number 15
loop_
_space_group_symop_operation_xyz
'x,y,z'
'-x,-y,-z'
'-x,y,-z+1/2'
'x,-y,z+1/2'
'x+1/2,y+1/2,z'
'-x+1/2,-y+1/2,-z'
'-x+1/2,y+1/2,-z+1/2'
'x+1/2,-y+1/2,z+1/2'
loop_
_atom_site_label
_atom_site_fract_x
_atom_site_fract_y
_atom_site_fract_z
_atom_site_occupancy
Hf1 0.1124 0.2192 0.0846 1
Al1 0.0000 0.0064 0.7500 1
Al2 0.1156 0.3440 0.6369 1
Al3 0.2119 0.4563 0.0515 1
Rh1 0.0000 0.4478 0.2500 1
Rh2 0.1701 0.1390 0.5571 1
```

Main lines, in order of rising 2θ (10° ≤ 2θ ≤ 90°):
| 2θ (°) | intensity | hkl |
| --- | --- | --- |
| 15.0 | 99 | 0 2 0 |
| 36.9 | 92 | 3 3 -1 |
| 37.0 | 98 | 2 2 -2 |
| 40.4 | 83 | 4 2 0 |
| 41.4 | 86 | 2 0 2 |
| 43.7 | 100 | 1 5 1 |

***

Theoretical powder XRD pattern
Compound: Hf8Al2Rh
Radiation: CuKα
Structure: a structure optimized by DFT (GGA-PBE)
Peak positions follow from Bragg's law for the DFT cell and can differ from measured ones.

Atomic structure:
```
data_Hf8Al2Rh
_chemical_formula_sum 'Hf16 Al4 Rh2'
_cell_length_a 17.5820
_cell_length_b 4.4951
_cell_length_c 5.9847
_cell_angle_alpha 90.00
_cell_angle_beta 103.22
_cell_angle_gamma 90.00
_space_group_name_H-M_alt 'C 1 2/m 1'
_space_group_IT_number 12
loop_
_space_group_symop_operation_xyz
'x,y,z'
'-x,-y,-z'
'-x,y,-z'
'x,-y,z'
'x+1/2,y+1/2,z'
'-x+1/2,-y+1/2,-z'
'-x+1/2,y+1/2,-z'
'x+1/2,-y+1/2,z'
loop_
_atom_site_label
_atom_site_fract_x
_atom_site_fract_y
_atom_site_fract_z
_atom_site_occupancy
Hf1 0.0208 0.0000 0.2597 1
Hf2 0.0946 0.5000 0.9990 1
Hf3 0.1490 0.5000 0.5143 1
Hf4 0.2235 0.0000 0.8298 1
Al1 0.1833 0.0000 0.2688 1
Rh1 0.0000 0.5000 0.5000 1
```

Main lines, in order of rising 2θ (10° ≤ 2θ ≤ 90°):
| 2θ (°) | intensity | hkl |
| --- | --- | --- |
| 31.4 | 34 | 3 1 1 |
| 32.9 | 49 | 5 1 0 |
| 36.1 | 100 | 1 1 -2 |
| 38.2 | 36 | 6 0 1 |
| 40.1 | 50 | 0 2 0 |
| 41.8 | 31 | 7 1 -1 |

***

Theoretical powder XRD pattern
Compound: Hf2Al9Rh3
Radiation: CuKα
Structure: a structure optimized by DFT (GGA-PBE)
Peak positions follow from Bragg's law for the DFT cell and can differ from measured ones.

Atomic structure:
```
data_Hf2Al9Rh3
_chemical_formula_sum 'Hf8 Al36 Rh12'
_cell_length_a 12.9276
_cell_length_b 7.4395
_cell_length_c 10.1560
_cell_angle_alpha 90.00
_cell_angle_beta 114.93
_cell_angle_gamma 90.00
_space_group_name_H-M_alt 'C 1 2/c 1'
_space_group_IT_number 15
loop_
_space_group_symop_operation_xyz
'x,y,z'
'-x,-y,-z'
'-x,y,-z+1/2'
'x,-y,z+1/2'
'x+1/2,y+1/2,z'
'-x+1/2,-y+1/2,-z'
'-x+1/2,y+1/2,-z+1/2'
'x+1/2,-y+1/2,z+1/2'
loop_
_atom_site_label
_atom_site_fract_x
_atom_site_fract_y
_atom_site_fract_z
_atom_site_occupancy
Hf1 0.1695 0.0836 0.2498 1
Al1 0.0000 0.3631 0.2500 1
Al2 0.0578 0.0802 0.9224 1
Al3 0.1046 0.4144 0.0614 1
Al4 0.1073 0.3111 0.7479 1
Al5 0.2256 0.4151 0.4242 1
Rh1 0.0867 0.2401 0.5001 1
Rh2 0.2500 0.2500 0.0000 1
```

Main lines, in order of rising 2θ (10° ≤ 2θ ≤ 90°):
| 2θ (°) | intensity | hkl |
| --- | --- | --- |
| 25.8 | 62 | 0 2 1 |
| 30.9 | 100 | 3 1 1 |
| 38.0 | 49 | 0 2 3 |
| 39.1 | 37 | 0 0 4 |
| 41.9 | 31 | 6 0 -2 |
| 42.0 | 61 | 3 3 -1 |

***

Theoretical powder XRD pattern
Compound: HfAl3Rh
Radiation: CuKα
Structure: a structure optimized by DFT (GGA-PBE)
Peak positions follow from Bragg's law for the DFT cell and can differ from measured ones.

Atomic structure:
```
data_HfAl3Rh
_chemical_formula_sum 'Hf4 Al12 Rh4'
_cell_length_a 7.9778
_cell_length_b 5.2396
_cell_length_c 7.9688
_cell_angle_alpha 90.00
_cell_angle_beta 99.00
_cell_angle_gamma 90.00
_space_group_name_H-M_alt 'P 1 21/c 1'
_space_group_IT_number 14
loop_
_space_group_symop_operation_xyz
'x,y,z'
'-x,-y,-z'
'-x,y+1/2,-z+1/2'
'x,-y+1/2,z+1/2'
loop_
_atom_site_label
_atom_site_fract_x
_atom_site_fract_y
_atom_site_fract_z
_atom_site_occupancy
Hf1 0.1157 0.1203 0.2106 1
Al1 0.1253 0.6386 0.0541 1
Al2 0.2789 0.5948 0.3578 1
Al3 0.3877 0.1608 0.5491 1
Rh1 0.4433 0.6428 0.6560 1
```

Main lines, in order of rising 2θ (10° ≤ 2θ ≤ 90°):
| 2θ (°) | intensity | hkl |
| --- | --- | --- |
| 22.6 | 87 | 0 0 2 |
| 29.2 | 100 | 1 1 -2 |
| 37.4 | 75 | 1 2 -1 |
| 38.5 | 100 | 1 2 1 |
| 38.8 | 70 | 2 1 2 |
| 42.0 | 76 | 2 2 -1 |

***

Theoretical powder XRD pattern
Compound: HfAl4Ru
Radiation: CuKα
Structure: a structure optimized by DFT (GGA-PBE)
Peak positions follow from Bragg's law for the DFT cell and can differ from measured ones.

Atomic structure:
```
data_HfAl4Ru
_chemical_formula_sum 'Hf4 Al16 Ru4'
_cell_length_a 6.5382
_cell_length_b 6.5382
_cell_length_c 10.2776
_cell_angle_alpha 90.00
_cell_angle_beta 90.00
_cell_angle_gamma 90.00
_space_group_name_H-M_alt 'I 4/m c m'
_space_group_IT_number 140
_space_group_name_Hall '-I 4 2c'
loop_
_atom_site_label
_atom_site_fract_x
_atom_site_fract_y
_atom_site_fract_z
_atom_site_occupancy
Hf1 0.0000 0.0000 0.0000 1
Al1 0.1506 0.3494 0.1527 1
Ru1 0.0000 0.0000 0.2500 1
```

Main lines, in order of rising 2θ (10° ≤ 2θ ≤ 90°):
| 2θ (°) | intensity | hkl |
| --- | --- | --- |
| 19.2 | 100 | 1 1 0 |
| 27.3 | 44 | 2 0 0 |
| 39.0 | 24 | 2 2 0 |
| 40.2 | 50 | 1 1 4 |
| 43.8 | 47 | 3 1 0 |
| 44.9 | 36 | 2 0 4 |